(1)
# GdYThCd
Theoretical powder X-ray diffraction pattern, Cu Kα X-rays. Input: a cell relaxed with PBE.
Peak positions follow from Bragg's law for the DFT cell and can differ from measured ones.

Crystal structure
Unit cell a=5.5151 b=5.5151 c=5.5151 alpha=60.00 beta=60.00 gamma=60.00
Positions (direct):
Gd  0.0000  0.0000  0.0000
Y  0.5000  0.5000  0.5000
Th  0.2500  0.2500  0.2500
Cd  0.7500  0.7500  0.7500

Main lines, by angle (2θ = 10–90°):
2θ 19.72, I 10
2θ 22.80, I 3
2θ 32.47, I 100
2θ 38.27, I 6
2θ 46.58, I 18
2θ 51.04, I 3
2θ 57.92, I 38
2θ 67.99, I 12
2θ 77.38, I 16
2θ 86.44, I 4

---

(2)
# CeHo3Pb2
Theoretical powder X-ray diffraction pattern, Cu Kα X-rays. Input: a cell relaxed with PBE.
Peak positions follow from Bragg's law for the DFT cell and can differ from measured ones.

Crystal structure
Unit cell a=9.0490 b=9.0490 c=9.0490 alpha=131.07 beta=71.15 gamma=131.77
Positions (direct):
Ce  0.0000  0.0000  0.0000
Ce  0.5000  0.5000  0.0000
Ho  0.0414  0.2500  0.7914
Ho  0.2500  0.7500  0.5000
Ho  0.4586  0.2500  0.2086
Ho  0.5414  0.7500  0.7914
Ho  0.7500  0.2500  0.5000
Ho  0.9586  0.7500  0.2086
Pb  0.1443  0.6779  0.8222
Pb  0.3557  0.1779  0.5337
Pb  0.6443  0.8221  0.4663
Pb  0.8557  0.3221  0.1778

Main lines, by angle (2θ = 10–90°):
2θ 20.75, I 72
2θ 27.36, I 19
2θ 32.60, I 100
2θ 34.11, I 70
2θ 34.38, I 25
2θ 40.48, I 33
2θ 44.18, I 18
2θ 49.30, I 16
2θ 63.01, I 30
2θ 70.45, I 15